Calculated X-ray powder pattern of Zr3Sn2Au2 for copper Kα, from a DFT-relaxed cell (PBE, OQMD).
Lines closer than 0.1° are merged.

Most intense lines, 10 to 80 degrees two-theta, low angle first:
| index | Position (°2θ) | I_rel |
| --- | --- | --- |
| 0 1 2 | 22.6 | 12 |
| 1 0 4 | 26.0 | 35 |
| 0 1 5 | 28.4 | 11 |
| 1 0 7 | 33.9 | 11 |
| 0 1 8 | 37.0 | 89 |
| 1 1 0 | 37.3 | 100 |
| 0 2 4 | 46.1 | 8 |
| 2 0 8 | 53.6 | 31 |
| 1 0 16 | 66.5 | 11 |
| 1 2 8 | 67.1 | 32 |
| 3 0 0 | 67.3 | 18 |
| 2 2 0 | 79.5 | 11 |

Crystal structure
```
data_Zr3Sn2Au2
_chemical_formula_sum 'Zr9 Sn6 Au6'
_symmetry_space_group_name_H-M 'R 3 m'
_symmetry_Int_Tables_number 160
_symmetry_space_group_name_Hall 'R 3 -2"'
_cell_length_a 4.8216
_cell_length_b 4.8216
_cell_length_c 23.8746
_cell_angle_alpha 90.00
_cell_angle_beta 90.00
_cell_angle_gamma 120.00
loop_
_atom_site_label
_atom_site_fract_x
_atom_site_fract_y
_atom_site_fract_z
Zr1 0.0000 0.0000 0.0000
Zr2 0.0000 0.0000 0.2493
Zr3 0.0000 0.0000 0.5003
Sn1 0.0000 0.0000 0.1205
Sn2 0.0000 0.0000 0.6273
Au1 0.0000 0.0000 0.3815
Au2 0.0000 0.0000 0.8606
```